Entry 1:
Starting from a structure optimized by DFT (PBE), the X-ray diffraction stick pattern of Nd6In2Ag was simulated for copper Kα.

Cell and atoms:
Cell lengths 10.309, 10.309, 5.204 Å; angles 90.00, 90.00, 90.00 degrees
Space group P4_2/mnm (No. 136)
Unique sites:
Nd  0.019  0.319  0.000 x8
Nd  0.125  0.875  0.500 x4
In  0.199  0.199  0.500 x4
Ag  0.000  0.000  0.000 x2

Main lines, sorted by position (15° ≤ 2θ ≤ 90°):
two_theta  I (rel.)  hkl
31.20  100  3 0 1
32.41  18  3 1 1
34.47  22  0 0 2
36.99  22  3 3 0
47.23  7  3 2 2
51.45  17  3 3 2
59.42  9  6 2 1
59.71  14  3 0 3
63.07  8  6 3 1
65.75  6  6 1 2

Entry 2:
Starting from a structure optimized by DFT (PBE), the X-ray diffraction stick pattern of NdHo3Ir2 was simulated for copper Kα.

Cell and atoms:
Cell lengths 14.538, 5.050, 8.197 Å; angles 90.00, 96.46, 90.00 degrees
Space group C2/m (No. 12)
Unique sites:
Nd  0.155  0.000  0.302 x4
Ho  0.070  0.000  0.827 x4
Ho  0.115  0.500  0.563 x4
Ho  0.174  0.500  0.017 x4
Ir  0.024  0.500  0.219 x4
Ir  0.227  0.000  0.660 x4

Main lines, sorted by position (15° ≤ 2θ ≤ 90°):
two_theta  I (rel.)  hkl
33.94  36  2 0 -3
35.23  100  3 1 2
35.56  58  0 2 0
36.44  87  5 1 -1
47.98  14  4 2 -2
49.98  27  2 2 -3
53.17  16  8 0 1
63.65  18  3 3 2
64.44  17  5 3 -1
65.61  17  8 2 1

Entry 3:
Starting from a structure optimized by DFT (PBE), the X-ray diffraction stick pattern of SnHgMoHAu was simulated for copper Kα.

Cell and atoms:
Cell lengths 4.930, 3.183, 10.909 Å; angles 90.00, 90.00, 90.00 degrees
Space group Amm2 (No. 38)
Unique sites:
Sn  0.000  0.000  0.000 x2
Hg  0.500  0.000  0.142 x2
Mo  0.000  0.000  0.286 x2
H  0.000  0.000  0.705 x2
Au  0.500  0.000  0.859 x2

Main lines, sorted by position (15° ≤ 2θ ≤ 90°):
two_theta  I (rel.)  hkl
17.99  21  1 0 0
29.22  59  0 1 1
34.53  18  1 1 1
36.45  48  2 0 0
37.69  70  1 0 4
41.93  100  1 1 3
47.38  32  2 1 1
69.35  23  3 1 3
71.21  22  1 2 4
78.60  21  2 1 7

Entry 4:
Starting from a structure optimized by DFT (PBE), the X-ray diffraction stick pattern of K2Cu was simulated for copper Kα.

Cell and atoms:
Cell lengths 5.9505, 5.9505, 7.7473 Å; angles 90.00, 90.00, 120.00 degrees
Space group P6_3/mmc (No. 194)
Unique sites:
K  0.0000  0.0000  0.0000 x2
K  0.3333  0.6667  0.2500 x2
Cu  0.3333  0.6667  0.7500 x2

Main lines, sorted by position (15° ≤ 2θ ≤ 90°):
two_theta  I (rel.)  hkl
20.70  12  1 0 1
22.96  14  0 0 2
28.83  90  1 0 2
30.03  100  1 1 0
38.14  22  1 1 2
42.12  30  2 0 2
52.59  29  2 1 2
53.33  17  3 0 0
56.71  28  1 1 4
73.72  12  3 0 4

Entry 5:
Starting from a structure optimized by DFT (PBE), the X-ray diffraction stick pattern of SmHo6Cd was simulated for copper Kα.

Cell and atoms:
Cell lengths 9.2300, 9.2300, 9.9626 Å; angles 90.00, 90.00, 120.00 degrees
Space group R-3 (No. 148, hexagonal axes)
Unique sites:
Sm  0.0000  0.0000  0.0000 x3
Ho  0.0246  0.7674  0.7164 x18
Cd  0.0000  0.0000  0.5000 x3

Main lines, sorted by position (15° ≤ 2θ ≤ 90°):
two_theta  I (rel.)  hkl
26.85  19  0 0 3
28.64  31  2 0 2
30.93  100  3 -1 1
33.24  47  2 -1 3
33.64  21  3 0 0
34.73  78  1 2 2
37.83  18  1 0 4
50.61  16  5 -2 1
52.46  23  4 1 0
59.13  16  1 1 6

Entry 6:
Starting from a structure optimized by DFT (PBE), the X-ray diffraction stick pattern of Pm2Pa2Rh3 was simulated for copper Kα.

Cell and atoms:
Cell lengths 13.862, 4.055, 5.966 Å; angles 90.00, 90.14, 90.00 degrees
Space group C2/m (No. 12)
Unique sites:
Pm  0.144  0.000  0.384 x4
Pa  0.094  0.500  0.901 x4
Rh  0.000  0.500  0.500 x2
Rh  0.219  0.000  0.849 x4

Main lines, sorted by position (15° ≤ 2θ ≤ 90°):
two_theta  I (rel.)  hkl
22.85  25  1 1 0
27.37  55  1 1 1
29.30  34  3 1 0
32.70  96  2 0 2
32.98  100  3 1 -1
41.91  35  6 0 -1
42.33  78  5 1 1
44.70  37  0 2 0
55.15  26  3 1 -3
56.47  41  2 2 2

Entry 7:
Starting from a structure optimized by DFT (PBE), the X-ray diffraction stick pattern of Pm3MgTe4 was simulated for copper Kα.

Cell and atoms:
Cell lengths 9.067, 12.542, 4.311 Å; angles 90.00, 90.00, 90.00 degrees
Space group Cmmm (No. 65)
Unique sites:
Pm  0.000  0.000  0.000 x2
Pm  0.250  0.250  0.500 x4
Mg  0.000  0.500  0.000 x2
Te  0.000  0.259  0.000 x4
Te  0.233  0.500  0.500 x4

Main lines, sorted by position (15° ≤ 2θ ≤ 90°):
two_theta  I (rel.)  hkl
28.47  50  0 4 0
28.57  100  2 0 1
39.77  20  4 0 0
40.77  75  2 4 1
41.91  18  0 0 2
49.63  21  4 4 0
51.44  19  0 4 2
59.15  12  4 0 2
66.76  17  2 8 1
66.93  17  4 4 2

Entry 8:
Starting from a structure optimized by DFT (PBE), the X-ray diffraction stick pattern of Ag5Te8Au was simulated for copper Kα.

Cell and atoms:
Cell lengths 9.434, 9.434, 9.602 Å; angles 90.00, 90.00, 90.00 degrees
Space group I-4 (No. 82)
Unique sites:
Ag  0.000  0.000  0.000 x2
Ag  0.016  0.341  0.570 x8
Te  0.100  0.235  0.836 x8
Te  0.102  0.241  0.315 x8
Au  0.000  0.500  0.250 x2

Main lines, sorted by position (15° ≤ 2θ ≤ 90°):
two_theta  I (rel.)  hkl
22.82  53  1 1 2
23.03  56  2 1 1
29.47  49  1 0 3
29.94  100  3 1 0
35.43  76  3 1 2
40.54  25  4 1 1
42.24  47  2 0 4
42.72  46  4 0 2
44.93  35  3 3 2
47.05  26  2 4 2